Entry 1:
Computed powder diffractogram of Tc for CuKα, from the GGA-PBE geometry in the Materials Project.
No peak broadening, texture or thermal motion is included.

Cell and atoms:
Unit cell a=2.747 b=2.747 c=2.747 alpha=60.00 beta=60.00 gamma=60.00
Fractional positions:
Tc1 0.000 0.000 0.000

The 3 most intense peaks (5 to 70 degrees two-theta), most intense first:
| 2θ (°) | intensity |
| --- | --- |
| 40.20 | 100 |
| 46.76 | 48 |
| 68.29 | 30 |

***

Entry 2:
Computed powder diffractogram of Sb2O5 for CuKα, from the GGA-PBE geometry in the Materials Project.
No peak broadening, texture or thermal motion is included.

Cell and atoms:
Unit cell a=6.881 b=6.881 c=5.520 alpha=102.66 beta=102.66 gamma=41.64
Fractional positions:
Sb1 0.101 0.623 0.717
Sb2 0.377 0.899 0.783
Sb3 0.623 0.101 0.217
Sb4 0.899 0.377 0.283
O1 0.014 0.189 0.950
O2 0.189 0.014 0.450
O3 0.218 0.377 0.377
O4 0.377 0.218 0.877
O5 0.420 0.580 0.750
O6 0.580 0.420 0.250
O7 0.623 0.782 0.123
O8 0.782 0.623 0.623
O9 0.811 0.986 0.550
O10 0.986 0.811 0.050

The 6 most intense peaks (5 to 70 degrees two-theta), most intense first:
| 2θ (°) | intensity |
| --- | --- |
| 24.53 | 100 |
| 30.06 | 54 |
| 28.55 | 48 |
| 53.46 | 43 |
| 35.34 | 37 |
| 26.73 | 29 |

***

Entry 3:
Computed powder diffractogram of KFe2P2 for CuKα, from the GGA-PBE geometry in the Materials Project.
No peak broadening, texture or thermal motion is included.

Cell and atoms:
Unit cell a=6.850 b=6.850 c=6.850 alpha=147.74 beta=147.74 gamma=46.27
Fractional positions:
K1 0.000 0.000 0.000
Fe1 0.250 0.750 0.500
Fe2 0.750 0.250 0.500
P1 0.336 0.336 0.000
P2 0.664 0.664 0.000

The 6 most intense peaks (5 to 70 degrees two-theta), most intense first:
| 2θ (°) | intensity |
| --- | --- |
| 14.06 | 100 |
| 36.30 | 53 |
| 31.73 | 49 |
| 55.51 | 40 |
| 47.79 | 33 |
| 28.34 | 24 |

***

Entry 4:
Computed powder diffractogram of CaCu2As2 for CuKα, from the GGA-PBE geometry in the Materials Project.
No peak broadening, texture or thermal motion is included.

Cell and atoms:
Unit cell a=6.126 b=6.126 c=6.126 alpha=140.85 beta=140.85 gamma=56.57
Fractional positions:
Ca1 0.000 0.000 0.000
Cu1 0.250 0.750 0.500
Cu2 0.750 0.250 0.500
As1 0.378 0.378 0.000
As2 0.622 0.622 0.000

The 6 most intense peaks (5 to 70 degrees two-theta), most intense first:
| 2θ (°) | intensity |
| --- | --- |
| 35.11 | 100 |
| 45.93 | 85 |
| 44.12 | 84 |
| 33.12 | 73 |
| 23.18 | 39 |
| 16.43 | 38 |